# CrAs2Pb3O8
Computed X-ray powder pattern, Cu Kα. Input: a DFT-relaxed cell (GGA+U, Alexandria).

Main lines, by angle (2θ from 10° to 90°):
two_theta, I/Imax
21.35, 41
30.03, 100
30.71, 65
37.14, 21
43.49, 32
53.33, 20
53.75, 31
61.06, 20
62.42, 16
71.17, 13

Structure:
Lattice parameters (Å, degrees): 5.951 5.951 7.057 90.00 90.00 120.00
Positions (direct):
Cr: 0.000 0.000 0.000
As: 0.333 0.667 0.799
As: 0.667 0.333 0.201
Pb: 0.000 0.000 0.500
Pb: 0.333 0.667 0.236
Pb: 0.667 0.333 0.764
O: 0.149 0.298 0.808
O: 0.149 0.851 0.808
O: 0.298 0.149 0.192
O: 0.333 0.667 0.549
O: 0.667 0.333 0.451
O: 0.702 0.851 0.808
O: 0.851 0.149 0.192
O: 0.851 0.702 0.192